# Sn3P4O14
Computed X-ray diffraction stick pattern, Cu Kα (λ = 1.5418 Å). Input: a PBE-relaxed structure.
Kinematic intensities with the Lorentz-polarization factor, no thermal factor.

Principal peaks in the range 10° ≤ 2θ ≤ 90°, in order of rising 2θ:
2θ (°)	I_rel
10.39	76
19.61	84
19.73	67
21.32	72
22.48	42
22.83	58
28.09	75
29.13	100
31.46	57
43.82	44

a = 8.8853 Å, b = 9.0531 Å, c = 8.4972 Å
α = 90.00°, β = 106.70°, γ = 90.00°
Space group P2_1/c (No. 14)
Asymmetric unit:
1 Sn 0.0000 0.0000 0.0000 x2
2 Sn 0.2589 0.0804 0.6346 x4
3 P 0.1287 0.6965 0.8371 x4
4 P 0.3482 0.0113 0.2746 x4
5 O 0.0004 0.1566 0.8242 x4
6 O 0.1205 0.6047 0.9842 x4
7 O 0.1218 0.6369 0.3680 x4
8 O 0.2177 0.0761 0.1261 x4
9 O 0.2944 0.6592 0.8005 x4
10 O 0.3551 0.1019 0.4277 x4
11 O 0.4978 0.5006 0.2669 x4

=====

# Ac3Bi4Pd3
Computed X-ray diffraction stick pattern, Cu Kα (λ = 1.5418 Å). Input: a PBE-relaxed structure.
Kinematic intensities with the Lorentz-polarization factor, no thermal factor.

Principal peaks in the range 10° ≤ 2θ ≤ 90°, in order of rising 2θ:
2θ (°)	I_rel
26.89	48
31.93	100
38.39	30
42.22	18
44.03	12
53.90	17
55.42	14
56.91	10
65.40	13
85.97	13

a = 10.4858 Å, b = 10.4858 Å, c = 10.4858 Å
α = 90.00°, β = 90.00°, γ = 90.00°
Space group I-43d (No. 220)
Asymmetric unit:
1 Ac 0.0000 0.2500 0.8750 x12
2 Bi 0.0824 0.4176 0.5824 x16
3 Pd 0.0000 0.2500 0.3750 x12

=====

# SmGaCu2Pt
Computed X-ray diffraction stick pattern, Cu Kα (λ = 1.5418 Å). Input: a PBE-relaxed structure.
Kinematic intensities with the Lorentz-polarization factor, no thermal factor.

Principal peaks in the range 10° ≤ 2θ ≤ 90°, in order of rising 2θ:
2θ (°)	I_rel
23.01	17
32.87	15
33.62	26
35.55	100
43.78	23
46.12	36
47.25	15
56.30	12
60.57	12
65.44	13

a = 3.9389 Å, b = 4.1357 Å, c = 10.8652 Å
α = 90.00°, β = 90.00°, γ = 90.00°
Space group Imm2 (No. 44)
Asymmetric unit:
1 Sm 0.0000 0.0000 0.0000 x2
2 Ga 0.0000 0.0000 0.3759 x2
3 Cu 0.0000 0.0000 0.5976 x2
4 Cu 0.0000 0.5000 0.2439 x2
5 Pt 0.0000 0.5000 0.7333 x2

=====

# Y2CoAu
Computed X-ray diffraction stick pattern, Cu Kα (λ = 1.5418 Å). Input: a PBE-relaxed structure.
Kinematic intensities with the Lorentz-polarization factor, no thermal factor.

Principal peaks in the range 10° ≤ 2θ ≤ 90°, in order of rising 2θ:
2θ (°)	I_rel
16.21	14
20.77	17
31.19	27
32.76	19
36.66	100
38.77	25
49.57	13
54.00	17
64.62	17
68.80	15

a = 3.3981 Å, b = 4.6455 Å, c = 10.9356 Å
α = 90.00°, β = 90.00°, γ = 90.00°
Space group Imm2 (No. 44)
Asymmetric unit:
1 Y 0.0000 0.0000 0.0000 x2
2 Y 0.0000 0.5000 0.2075 x2
3 Co 0.0000 0.5000 0.7266 x2
4 Au 0.0000 0.0000 0.4181 x2

=====

# Zn3BiI
Computed X-ray diffraction stick pattern, Cu Kα (λ = 1.5418 Å). Input: a PBE-relaxed structure.
Kinematic intensities with the Lorentz-polarization factor, no thermal factor.

Principal peaks in the range 10° ≤ 2θ ≤ 90°, in order of rising 2θ:
2θ (°)	I_rel
15.99	37
22.68	100
32.30	92
39.83	47
46.32	67
52.18	22
57.60	23
62.71	26
76.91	30
85.89	23

a = 5.5436 Å, b = 5.5436 Å, c = 5.5436 Å
α = 90.00°, β = 90.00°, γ = 90.00°
Space group Pm-3m (No. 221)
Asymmetric unit:
1 Zn 0.0000 0.0000 0.5000 x3
2 Bi 0.0000 0.0000 0.0000 x1
3 I 0.5000 0.5000 0.5000 x1

=====

# Zr7In2Sn2
Computed X-ray diffraction stick pattern, Cu Kα (λ = 1.5418 Å). Input: a PBE-relaxed structure.
Kinematic intensities with the Lorentz-polarization factor, no thermal factor.

Principal peaks in the range 10° ≤ 2θ ≤ 90°, in order of rising 2θ:
2θ (°)	I_rel
21.38	33
26.16	70
28.69	18
29.25	38
34.75	61
38.44	50
38.71	100
42.48	19
44.01	23
45.61	28

a = 10.3263 Å, b = 7.7971 Å, c = 7.0069 Å
α = 90.00°, β = 90.11°, γ = 90.00°
Space group C2/m (No. 12)
Asymmetric unit:
1 Zr 0.0000 0.0000 0.0000 x2
2 Zr 0.0002 0.5000 0.2736 x4
3 Zr 0.2499 0.2495 0.2903 x8
4 In 0.0000 0.1752 0.5000 x4
5 Sn 0.2124 0.5000 0.0004 x4